Record 1
Simulated powder XRD pattern
Compound: Ta5Bi
Radiation: Cu Kα X-rays
Structure: the PBE geometry in Alexandria
Neutral-atom scattering factors, no anomalous dispersion.

Most intense lines, 2θ from 10° to 90°, by angle:
- (1 3 1), d 2.414, 2θ = 37.24°, rel. 100
- (2 0 0), d 2.339, 2θ = 38.49°, rel. 23
- (0 6 0), d 2.312, 2θ = 38.95°, rel. 21
- (0 0 2), d 1.778, 2θ = 51.40°, rel. 10
- (2 6 0), d 1.644, 2θ = 55.92°, rel. 15
- (3 3 1), d 1.364, 2θ = 68.81°, rel. 17
- (1 9 1), d 1.354, 2θ = 69.42°, rel. 15
- (2 6 2), d 1.207, 2θ = 79.38°, rel. 11

Crystal structure
a b c (Å): 4.6773 13.8737 3.5556
angles (deg): 90.00 90.00 90.00
Space group Cmmm (No. 65)
Inequivalent atoms, fractional coordinates:
Ta: 0.0000 0.0000 0.0000
Ta: 0.0000 0.1640 0.5000
Ta: 0.0000 0.3239 0.0000
Bi: 0.0000 0.5000 0.5000

---

Record 2
Simulated powder XRD pattern
Compound: UI2Br3
Radiation: Cu Kα X-rays
Structure: the PBE geometry in Alexandria
Neutral-atom scattering factors, no anomalous dispersion.

Most intense lines, 2θ from 10° to 90°, by angle:
- (0 1 1), d 7.269, 2θ = 12.18°, rel. 100
- (0 0 2), d 7.193, 2θ = 12.31°, rel. 29
- (1 0 1), d 5.280, 2θ = 16.79°, rel. 77
- (0 2 2), d 3.634, 2θ = 24.49°, rel. 26
- (2 0 0), d 2.838, 2θ = 31.53°, rel. 25
- (1 2 3), d 2.763, 2θ = 32.40°, rel. 46
- (0 2 4), d 2.735, 2θ = 32.75°, rel. 41
- (2 2 4), d 1.969, 2θ = 46.09°, rel. 32

Crystal structure
a b c (Å): 5.6757 8.4233 14.3850
angles (deg): 90.00 90.00 90.00
Space group Imm2 (No. 44)
Inequivalent atoms, fractional coordinates:
U: 0.0000 0.0000 0.0000
I: 0.0000 0.2406 0.8576
Br: 0.0000 0.2233 0.1290
Br: 0.0000 0.5000 0.4981

---

Record 3
Simulated powder XRD pattern
Compound: CaScAs2
Radiation: Cu Kα X-rays
Structure: the PBE geometry in Alexandria
Neutral-atom scattering factors, no anomalous dispersion.

Most intense lines, 2θ from 10° to 90°, by angle:
- (1 0 1), d 3.417, 2θ = 26.08°, rel. 20
- (0 1 2), d 3.286, 2θ = 27.14°, rel. 28
- (1 0 4), d 2.880, 2θ = 31.05°, rel. 21
- (0 1 5), d 2.659, 2θ = 33.71°, rel. 100
- (1 0 7), d 2.251, 2θ = 40.05°, rel. 27
- (1 1 0), d 2.000, 2θ = 45.34°, rel. 49
- (1 0 10), d 1.779, 2θ = 51.36°, rel. 19
- (2 0 5), d 1.598, 2θ = 57.67°, rel. 20

Crystal structure
a b c (Å): 4.0008 4.0008 20.7291
angles (deg): 90.00 90.00 120.00
Space group R3m (No. 160, hexagonal axes)
Inequivalent atoms, fractional coordinates:
Ca: 0.0000 0.0000 0.0000
Sc: 0.0000 0.0000 0.1726
As: 0.0000 0.0000 0.5763
As: 0.0000 0.0000 0.7638

---

Record 4
Simulated powder XRD pattern
Compound: AcTmPb
Radiation: Cu Kα X-rays
Structure: the PBE geometry in Alexandria
Neutral-atom scattering factors, no anomalous dispersion.

Most intense lines, 2θ from 10° to 90°, by angle:
- (1 0 1), d 3.197, 2θ = 27.91°, rel. 100
- (1 1 0), d 2.604, 2θ = 34.44°, rel. 62
- (0 0 2), d 2.266, 2θ = 39.79°, rel. 14
- (2 0 1), d 2.019, 2θ = 44.90°, rel. 28
- (1 1 2), d 1.709, 2θ = 53.62°, rel. 36
- (2 1 1), d 1.595, 2θ = 57.79°, rel. 27
- (3 0 0), d 1.503, 2θ = 61.70°, rel. 12
- (3 0 2), d 1.253, 2θ = 75.97°, rel. 14

Crystal structure
a b c (Å): 5.2077 5.2077 4.5313
angles (deg): 90.00 90.00 120.00
Space group P-6m2 (No. 187)
Inequivalent atoms, fractional coordinates:
Ac: 0.0000 0.0000 0.0000
Tm: 0.6667 0.3333 0.5000
Pb: 0.3333 0.6667 0.5000

---

Record 5
Simulated powder XRD pattern
Compound: Er2Tm3Cd6
Radiation: Cu Kα X-rays
Structure: the PBE geometry in Alexandria
Neutral-atom scattering factors, no anomalous dispersion.

Most intense lines, 2θ from 10° to 90°, by angle:
- (1 1 0), d 3.491, 2θ = 25.51°, rel. 23
- (1 1 2), d 3.383, 2θ = 26.35°, rel. 25
- (1 1 6), d 2.772, 2θ = 32.29°, rel. 21
- (2 0 0), d 2.469, 2θ = 36.39°, rel. 58
- (1 1 8), d 2.443, 2θ = 36.79°, rel. 100
- (2 2 0), d 1.746, 2θ = 52.41°, rel. 20
- (3 1 8), d 1.420, 2θ = 65.75°, rel. 36
- (2 0 16), d 1.406, 2θ = 66.52°, rel. 12

Crystal structure
a b c (Å): 4.9375 4.9375 27.3570
angles (deg): 90.00 90.00 90.00
Space group I4/mmm (No. 139)
Inequivalent atoms, fractional coordinates:
Er: 0.0000 0.0000 0.1342
Tm: 0.0000 0.0000 0.3636
Tm: 0.0000 0.0000 0.5000
Cd: 0.0000 0.0000 0.2487
Cd: 0.0000 0.5000 0.0652

---

Record 6
Simulated powder XRD pattern
Compound: CaLa4Ir2
Radiation: Cu Kα X-rays
Structure: the PBE geometry in Alexandria
Neutral-atom scattering factors, no anomalous dispersion.

Most intense lines, 2θ from 10° to 90°, by angle:
- (1 1 0), d 7.447, 2θ = 11.88°, rel. 100
- (1 1 -1), d 6.640, 2θ = 13.33°, rel. 69
- (0 0 2), d 3.772, 2θ = 23.58°, rel. 54
- (3 1 -2), d 3.211, 2θ = 27.78°, rel. 43
- (1 1 2), d 2.960, 2θ = 30.19°, rel. 44
- (0 4 0), d 2.935, 2θ = 30.45°, rel. 76
- (4 0 -2), d 2.679, 2θ = 33.45°, rel. 52
- (4 0 0), d 2.409, 2θ = 37.33°, rel. 46

Crystal structure
a b c (Å): 10.9104 11.7410 8.5450
angles (deg): 90.00 118.00 90.00
Space group C2/c (No. 15)
Inequivalent atoms, fractional coordinates:
Ca: 0.0000 0.0212 0.2500
La: 0.0089 0.2615 0.0145
La: 0.1982 0.4795 0.3627
Ir: 0.0000 0.5000 0.0000
Ir: 0.2500 0.2500 0.5000

---

Record 7
Simulated powder XRD pattern
Compound: Li7In3Pd
Radiation: Cu Kα X-rays
Structure: the PBE geometry in Alexandria
Neutral-atom scattering factors, no anomalous dispersion.

Most intense lines, 2θ from 10° to 90°, by angle:
- (0 4 2), d 4.055, 2θ = 21.92°, rel. 100
- (0 0 4), d 3.730, 2θ = 23.86°, rel. 44
- (1 1 0), d 2.879, 2θ = 31.06°, rel. 17
- (1 3 2), d 2.500, 2θ = 35.93°, rel. 16
- (0 8 0), d 2.416, 2θ = 37.22°, rel. 12
- (1 1 4), d 2.279, 2θ = 39.54°, rel. 21
- (1 5 2), d 2.220, 2θ = 40.64°, rel. 26
- (0 4 6), d 2.211, 2θ = 40.82°, rel. 22

Crystal structure
a b c (Å): 2.9115 19.3241 14.9181
angles (deg): 90.00 90.00 90.00
Space group Cmcm (No. 63)
Inequivalent atoms, fractional coordinates:
Li: 0.0000 0.0064 0.0983
Li: 0.0000 0.1055 0.2500
Li: 0.0000 0.1181 0.6641
Li: 0.0000 0.2441 0.5824
In: 0.0000 0.2623 0.2500
In: 0.0000 0.3814 0.5098
Pd: 0.0000 0.4820 0.2500

---

Record 8
Simulated powder XRD pattern
Compound: YScCdRu
Radiation: Cu Kα X-rays
Structure: the PBE geometry in Alexandria
Neutral-atom scattering factors, no anomalous dispersion.

Most intense lines, 2θ from 10° to 90°, by angle:
- (1 0 0), d 3.381, 2θ = 26.36°, rel. 7
- (1 0 1), d 3.077, 2θ = 29.02°, rel. 12
- (1 0 2), d 2.499, 2θ = 35.94°, rel. 100
- (1 1 0), d 2.391, 2θ = 37.62°, rel. 50
- (2 0 0), d 1.691, 2θ = 54.26°, rel. 16
- (1 1 4), d 1.465, 2θ = 63.49°, rel. 12
- (2 1 2), d 1.400, 2θ = 66.81°, rel. 30
- (2 0 4), d 1.249, 2θ = 76.20°, rel. 7

Crystal structure
a b c (Å): 3.3814 3.3814 7.4170
angles (deg): 90.00 90.00 90.00
Space group P4mm (No. 99)
Inequivalent atoms, fractional coordinates:
Y: 0.0000 0.0000 0.0000
Sc: 0.0000 0.0000 0.5690
Cd: 0.5000 0.5000 0.3069
Ru: 0.5000 0.5000 0.7628

---

Record 9
Simulated powder XRD pattern
Compound: Al2Rh
Radiation: Cu Kα X-rays
Structure: the PBE geometry in Alexandria
Neutral-atom scattering factors, no anomalous dispersion.

Most intense lines, 2θ from 10° to 90°, by angle:
- (0 1 1), d 3.571, 2θ = 24.93°, rel. 64
- (1 0 2), d 3.267, 2θ = 27.30°, rel. 58
- (1 1 1), d 2.997, 2θ = 29.81°, rel. 25
- (2 0 0), d 2.757, 2θ = 32.48°, rel. 31
- (2 1 1), d 2.182, 2θ = 41.37°, rel. 73
- (1 1 3), d 2.072, 2θ = 43.69°, rel. 100
- (0 2 0), d 1.989, 2θ = 45.62°, rel. 31
- (3 0 2), d 1.674, 2θ = 54.84°, rel. 19

Crystal structure
a b c (Å): 5.5137 3.9775 8.1095
angles (deg): 90.00 90.00 90.00
Space group Pnma (No. 62)
Inequivalent atoms, fractional coordinates:
Al: 0.0675 0.2500 0.1656
Al: 0.1587 0.2500 0.5313
Rh: 0.2408 0.2500 0.8390

---

Record 10
Simulated powder XRD pattern
Compound: CdHg3Pd4
Radiation: Cu Kα X-rays
Structure: the PBE geometry in Alexandria
Neutral-atom scattering factors, no anomalous dispersion.

Most intense lines, 2θ from 10° to 90°, by angle:
- (1 1 -1), d 3.064, 2θ = 29.15°, rel. 6
- (3 1 1), d 2.388, 2θ = 37.66°, rel. 100
- (0 2 0), d 2.166, 2θ = 41.69°, rel. 38
- (8 0 0), d 1.907, 2θ = 47.70°, rel. 13
- (2 2 -2), d 1.532, 2θ = 60.43°, rel. 13
- (8 2 0), d 1.431, 2θ = 65.18°, rel. 10
- (3 3 1), d 1.290, 2θ = 73.38°, rel. 14
- (7 1 -3), d 1.288, 2θ = 73.50°, rel. 14

Crystal structure
a b c (Å): 15.8424 4.3325 4.3328
angles (deg): 90.00 105.67 90.00
Space group C2/m (No. 12)
Inequivalent atoms, fractional coordinates:
Cd: 0.0000 0.0000 0.0000
Hg: 0.0000 0.5000 0.5000
Hg: 0.2499 0.0000 0.2500
Pd: 0.1239 0.0000 0.6240
Pd: 0.1239 0.5000 0.1240

---

Record 11
Simulated powder XRD pattern
Compound: SrS6I2
Radiation: Cu Kα X-rays
Structure: the PBE geometry in Alexandria
Neutral-atom scattering factors, no anomalous dispersion.

Most intense lines, 2θ from 10° to 90°, by angle:
- (0 0 1), d 8.043, 2θ = 11.00°, rel. 61
- (0 1 1), d 4.889, 2θ = 18.14°, rel. 100
- (1 0 -1), d 4.095, 2θ = 21.70°, rel. 33
- (1 1 -1), d 3.936, 2θ = 22.59°, rel. 62
- (0 1 2), d 3.174, 2θ = 28.12°, rel. 90
- (1 -1 2), d 3.162, 2θ = 28.22°, rel. 86
- (1 2 -1), d 3.152, 2θ = 28.32°, rel. 58
- (1 -3 0), d 2.340, 2θ = 38.47°, rel. 29

Crystal structure
a b c (Å): 4.7383 8.5812 8.6094
angles (deg): 110.66 90.22 90.34
Space group P-1 (No. 2)
Inequivalent atoms, fractional coordinates:
Sr: 0.0000 0.0000 0.0000
S: 0.0720 0.2841 0.5169
S: 0.0731 0.5177 0.2852
S: 0.1409 0.6824 0.6822
I: 0.4994 0.8424 0.1557

---

Record 12
Simulated powder XRD pattern
Compound: CsNa2Cd2Bi2
Radiation: Cu Kα X-rays
Structure: the PBE geometry in Alexandria
Neutral-atom scattering factors, no anomalous dispersion.

Most intense lines, 2θ from 10° to 90°, by angle:
- (0 0 6), d 5.275, 2θ = 16.81°, rel. 23
- (1 0 4), d 3.881, 2θ = 22.91°, rel. 100
- (0 1 8), d 2.958, 2θ = 30.22°, rel. 22
- (1 0 10), d 2.580, 2θ = 34.77°, rel. 33
- (1 1 0), d 2.572, 2θ = 34.89°, rel. 75
- (0 2 4), d 2.144, 2θ = 42.15°, rel. 21
- (1 1 9), d 2.076, 2θ = 43.60°, rel. 21
- (3 0 0), d 1.485, 2θ = 62.53°, rel. 26

Crystal structure
a b c (Å): 5.1432 5.1432 31.6486
angles (deg): 90.00 90.00 120.00
Space group R-3m (No. 166, hexagonal axes)
Inequivalent atoms, fractional coordinates:
Cs: 0.0000 0.0000 0.0000
Na: 0.0000 0.0000 0.1423
Cd: 0.0000 0.0000 0.4489
Bi: 0.0000 0.0000 0.2464